1.
# Tb6Pr2HoTm3
Theoretical XRD peak list, Cu Kα (weighted mean of Kα1 and Kα2). Input: a DFT-relaxed cell (GGA-PBE, Alexandria).
Kinematic intensities with the Lorentz-polarization factor, no thermal factor.

The 10 most intense peaks (10 to 90 degrees two-theta), low angle first:
2θ (°), Rel. int.
30.72, 100
35.62, 51
51.26, 36
60.96, 43
63.99, 12
75.44, 6
83.61, 16
83.69, 1
86.29, 11
86.35, 5

Crystal structure
a = 6.174 Å, b = 6.174 Å, c = 11.813 Å
α = 94.98°, β = 94.98°, γ = 119.97°
Element x y z (fractional)
Tb1 0.085 0.418 0.755
Tb2 0.247 0.247 0.245
Tb3 0.418 0.085 0.755
Tb4 0.582 0.915 0.245
Tb5 0.753 0.753 0.755
Tb6 0.915 0.582 0.245
Pr1 0.333 0.667 0.500
Pr2 0.667 0.333 0.500
Ho1 0.000 0.000 0.500
Tm1 0.166 0.834 0.000
Tm2 0.500 0.500 0.000
Tm3 0.834 0.166 0.000

=====

2.
# Tb2Pr2HoTm2
Theoretical XRD peak list, Cu Kα (weighted mean of Kα1 and Kα2). Input: a DFT-relaxed cell (GGA-PBE, Alexandria).
Kinematic intensities with the Lorentz-polarization factor, no thermal factor.

The 12 most intense peaks (10 to 90 degrees two-theta), low angle first:
2θ (°), Rel. int.
28.54, 34
30.65, 100
32.47, 72
33.15, 35
35.23, 48
37.95, 22
51.73, 24
51.95, 13
53.79, 18
61.11, 15
61.55, 42
86.68, 13

Crystal structure
a = 6.118 Å, b = 6.118 Å, c = 11.862 Å
α = 108.57°, β = 108.57°, γ = 33.44°
Element x y z (fractional)
Tb1 0.050 0.050 0.267
Tb2 0.950 0.950 0.733
Pr1 0.170 0.170 0.585
Pr2 0.830 0.830 0.415
Ho1 0.500 0.500 0.000
Tm1 0.273 0.273 0.134
Tm2 0.727 0.727 0.866

=====

3.
# TbPr2HoTm2
Theoretical XRD peak list, Cu Kα (weighted mean of Kα1 and Kα2). Input: a DFT-relaxed cell (GGA-PBE, Alexandria).
Kinematic intensities with the Lorentz-polarization factor, no thermal factor.

The 12 most intense peaks (10 to 90 degrees two-theta), low angle first:
2θ (°), Rel. int.
31.36, 89
31.60, 100
40.97, 13
45.12, 33
52.16, 8
56.13, 34
56.28, 19
62.28, 29
66.00, 12
74.86, 10
80.29, 14
88.84, 11

Crystal structure
a = 7.015 Å, b = 5.658 Å, c = 9.815 Å
α = 90.00°, β = 90.00°, γ = 90.00°
Element x y z (fractional)
Tb1 0.000 0.000 0.000
Tb2 0.500 0.000 0.000
Pr1 0.000 0.500 0.500
Pr2 0.250 0.000 0.325
Pr3 0.500 0.500 0.500
Pr4 0.750 0.000 0.675
Ho1 0.250 0.500 0.839
Ho2 0.750 0.500 0.161
Tm1 0.250 0.000 0.665
Tm2 0.250 0.500 0.166
Tm3 0.750 0.000 0.335
Tm4 0.750 0.500 0.834

=====

4.
# TbPr2Y6Ho3
Theoretical XRD peak list, Cu Kα (weighted mean of Kα1 and Kα2). Input: a DFT-relaxed cell (GGA-PBE, Alexandria).
Kinematic intensities with the Lorentz-polarization factor, no thermal factor.

The 12 most intense peaks (10 to 90 degrees two-theta), low angle first:
2θ (°), Rel. int.
15.18, 8
29.22, 6
30.57, 100
35.45, 50
50.96, 18
51.06, 18
60.62, 31
60.72, 10
63.61, 6
83.05, 9
85.73, 8
85.88, 8

Crystal structure
a = 6.207 Å, b = 6.207 Å, c = 11.855 Å
α = 94.99°, β = 94.99°, γ = 119.96°
Element x y z (fractional)
Tb1 0.000 0.000 0.000
Pr1 0.333 0.667 0.000
Pr2 0.667 0.333 0.000
Y1 0.085 0.417 0.253
Y2 0.248 0.248 0.746
Y3 0.417 0.085 0.253
Y4 0.583 0.915 0.747
Y5 0.752 0.752 0.254
Y6 0.915 0.583 0.747
Ho1 0.167 0.833 0.500
Ho2 0.500 0.500 0.500
Ho3 0.833 0.167 0.500

=====

5.
# TbPr2YHo2
Theoretical XRD peak list, Cu Kα (weighted mean of Kα1 and Kα2). Input: a DFT-relaxed cell (GGA-PBE, Alexandria).
Kinematic intensities with the Lorentz-polarization factor, no thermal factor.

The 12 most intense peaks (10 to 90 degrees two-theta), low angle first:
2θ (°), Rel. int.
25.18, 12
31.14, 83
31.47, 100
40.72, 21
44.86, 30
55.82, 32
56.02, 19
61.79, 29
65.68, 12
74.47, 13
79.71, 14
88.19, 11

Crystal structure
a = 7.073 Å, b = 5.685 Å, c = 9.852 Å
α = 90.00°, β = 90.00°, γ = 90.00°
Element x y z (fractional)
Tb1 0.250 0.000 0.160
Tb2 0.750 0.000 0.840
Pr1 0.000 0.000 0.500
Pr2 0.250 0.500 0.676
Pr3 0.500 0.000 0.500
Pr4 0.750 0.500 0.324
Y1 0.000 0.500 0.000
Y2 0.500 0.500 0.000
Ho1 0.250 0.000 0.833
Ho2 0.250 0.500 0.335
Ho3 0.750 0.000 0.167
Ho4 0.750 0.500 0.665

=====

6.
# TbPrY2Ho5
Theoretical XRD peak list, Cu Kα (weighted mean of Kα1 and Kα2). Input: a DFT-relaxed cell (GGA-PBE, Alexandria).
Kinematic intensities with the Lorentz-polarization factor, no thermal factor.

The 12 most intense peaks (10 to 90 degrees two-theta), low angle first:
2θ (°), Rel. int.
28.36, 22
30.24, 41
31.82, 41
32.43, 100
33.88, 13
43.13, 14
47.16, 10
51.29, 11
55.72, 8
57.08, 20
60.04, 14
61.64, 13

Crystal structure
a = 10.282 Å, b = 10.282 Å, c = 10.583 Å
α = 90.00°, β = 90.00°, γ = 148.25°
Element x y z (fractional)
Tb1 0.201 0.799 0.500
Tb2 0.799 0.201 0.000
Pr1 0.417 0.583 0.941
Pr2 0.583 0.417 0.441
Y1 0.111 0.889 0.222
Y2 0.113 0.887 0.809
Y3 0.887 0.113 0.309
Y4 0.889 0.111 0.722
Ho1 0.019 0.981 0.514
Ho2 0.282 0.718 0.800
Ho3 0.298 0.702 0.197
Ho4 0.389 0.611 0.511
Ho5 0.479 0.521 0.225
Ho6 0.521 0.479 0.725
Ho7 0.611 0.389 0.011
Ho8 0.702 0.298 0.697
Ho9 0.718 0.282 0.300
Ho10 0.981 0.019 0.014

=====

7.
# TbPrY2Ho6
Theoretical XRD peak list, Cu Kα (weighted mean of Kα1 and Kα2). Input: a DFT-relaxed cell (GGA-PBE, Alexandria).
Kinematic intensities with the Lorentz-polarization factor, no thermal factor.

The 12 most intense peaks (10 to 90 degrees two-theta), low angle first:
2θ (°), Rel. int.
28.47, 66
28.66, 23
30.37, 100
30.69, 38
30.76, 87
31.20, 85
31.36, 64
31.72, 68
32.63, 38
34.73, 57
35.56, 41
37.26, 27

Crystal structure
a = 8.816 Å, b = 8.816 Å, c = 9.341 Å
α = 92.48°, β = 92.48°, γ = 116.48°
Element x y z (fractional)
Tb1 0.088 0.912 0.750
Tb2 0.912 0.088 0.250
Pr1 0.463 0.537 0.250
Pr2 0.537 0.463 0.750
Y1 0.196 0.298 0.947
Y2 0.298 0.196 0.447
Y3 0.702 0.804 0.553
Y4 0.804 0.702 0.053
Ho1 0.024 0.791 0.388
Ho2 0.056 0.510 0.182
Ho3 0.209 0.976 0.112
Ho4 0.260 0.618 0.559
Ho5 0.382 0.740 0.941
Ho6 0.490 0.944 0.318
Ho7 0.510 0.056 0.682
Ho8 0.618 0.260 0.059
Ho9 0.740 0.382 0.441
Ho10 0.791 0.024 0.888
Ho11 0.944 0.490 0.818
Ho12 0.976 0.209 0.612

=====

8.
# PrHo3Tc
Theoretical XRD peak list, Cu Kα (weighted mean of Kα1 and Kα2). Input: a DFT-relaxed cell (GGA-PBE, Alexandria).
Kinematic intensities with the Lorentz-polarization factor, no thermal factor.

The 12 most intense peaks (10 to 90 degrees two-theta), low angle first:
2θ (°), Rel. int.
30.85, 30
31.26, 61
31.45, 23
31.65, 46
31.79, 100
32.62, 51
34.74, 47
35.52, 33
39.79, 28
47.90, 32
58.97, 24
59.16, 24

Crystal structure
a = 8.652 Å, b = 3.798 Å, c = 8.774 Å
α = 90.00°, β = 101.88°, γ = 90.00°
Element x y z (fractional)
Pr1 0.171 0.250 0.013
Pr2 0.829 0.750 0.987
Ho1 0.027 0.750 0.662
Ho2 0.342 0.750 0.391
Ho3 0.422 0.750 0.815
Ho4 0.578 0.250 0.185
Ho5 0.658 0.250 0.609
Ho6 0.973 0.250 0.338
Tc1 0.263 0.250 0.598
Tc2 0.737 0.750 0.402